[1]
# Tl3PbI5
Theoretical powder XRD pattern, Cu Kα, 1.54184 Å. Input: the PBE geometry in the Materials Project.

Peak list (10 most intense, 5° ≤ 2θ ≤ 70°, most intense first)
| d_spacing | intensity |
| --- | --- |
| 3.313 | 100.0 |
| 2.972 | 74.7 |
| 2.858 | 62.9 |
| 3.033 | 46.9 |
| 2.994 | 42.4 |
| 3.048 | 34.9 |
| 3.278 | 31.8 |
| 3.344 | 30.2 |
| 2.232 | 28.6 |
| 2.061 | 24.1 |

Structure:
Cell: 9.1226 9.8332 16.5897 Å, 90.00 90.00 90.00°
Sites, in units of the cell vectors:
Tl: 0.0620 0.0906 0.2831
Tl: 0.0790 0.1681 0.9741
Tl: 0.2240 0.7035 0.0532
Tl: 0.2760 0.2965 0.5532
Tl: 0.4210 0.8319 0.4741
Tl: 0.4380 0.9094 0.7831
Tl: 0.5620 0.4094 0.7169
Tl: 0.5790 0.3319 0.0259
Tl: 0.7240 0.7965 0.9468
Tl: 0.7760 0.2035 0.4468
Tl: 0.9210 0.6681 0.5259
Tl: 0.9380 0.5906 0.2169
Pb: 0.0787 0.5488 0.7946
Pb: 0.4213 0.4512 0.2946
Pb: 0.5787 0.9512 0.2054
Pb: 0.9213 0.0488 0.7054
I: 0.0797 0.9965 0.5275
I: 0.0850 0.8552 0.8643
I: 0.0974 0.4408 0.3903
I: 0.2277 0.2149 0.7763
I: 0.2278 0.3493 0.1471
I: 0.2722 0.6507 0.6471
I: 0.2723 0.7851 0.2763
I: 0.4026 0.5592 0.8903
I: 0.4150 0.1448 0.3643
I: 0.4203 0.0035 0.0275
I: 0.5797 0.5035 0.4725
I: 0.5850 0.6448 0.1357
I: 0.5974 0.0592 0.6097
I: 0.7278 0.1507 0.8529
I: 0.7277 0.2851 0.2237
I: 0.7723 0.7149 0.7237
I: 0.7722 0.8493 0.3529
I: 0.9026 0.9408 0.1097
I: 0.9150 0.3552 0.6357
I: 0.9203 0.4965 0.9725



[2]
# Sr2Mg
Theoretical powder XRD pattern, Cu Kα, 1.54184 Å. Input: the PBE geometry in the Materials Project.

Peak list (10 most intense, 5° ≤ 2θ ≤ 70°, most intense first)
| d_spacing | intensity |
| --- | --- |
| 3.053 | 100.0 |
| 3.911 | 45.4 |
| 3.127 | 34.8 |
| 1.791 | 20.7 |
| 2.947 | 17.4 |
| 4.023 | 17.2 |
| 1.878 | 15.1 |
| 2.349 | 15.0 |
| 3.342 | 13.0 |
| 1.716 | 11.8 |

Structure:
Cell: 10.2337 10.2337 6.2533 Å, 90.00 90.00 156.85°
Sites, in units of the cell vectors:
Sr: 0.0839 0.9161 0.7500
Sr: 0.2108 0.7892 0.2500
Sr: 0.7892 0.2108 0.7500
Sr: 0.9161 0.0839 0.2500
Mg: 0.4396 0.5604 0.7500
Mg: 0.5604 0.4396 0.2500



[3]
# CsRb2GdCl6
Theoretical powder XRD pattern, Cu Kα, 1.54184 Å. Input: the PBE geometry in the Materials Project.

Peak list (10 most intense, 5° ≤ 2θ ≤ 70°, most intense first)
| d_spacing | intensity |
| --- | --- |
| 4.198 | 100.0 |
| 2.969 | 60.3 |
| 2.424 | 45.1 |
| 2.099 | 41.1 |
| 1.587 | 28.1 |
| 5.937 | 27.4 |
| 1.878 | 25.6 |
| 1.714 | 13.6 |
| 1.399 | 12.4 |
| 2.655 | 12.0 |

Structure:
Cell: 8.3966 8.3966 8.3966 Å, 60.00 60.00 60.00°
Sites, in units of the cell vectors:
Cs: 0.0000 0.0000 0.0000
Rb: 0.2500 0.2500 0.2500
Rb: 0.7500 0.7500 0.7500
Gd: 0.5000 0.5000 0.5000
Cl: 0.2752 0.2752 0.7248
Cl: 0.2752 0.7248 0.2752
Cl: 0.2752 0.7248 0.7248
Cl: 0.7248 0.2752 0.2752
Cl: 0.7248 0.2752 0.7248
Cl: 0.7248 0.7248 0.2752



[4]
# PmAlAu2
Theoretical powder XRD pattern, Cu Kα, 1.54184 Å. Input: the PBE geometry in the Materials Project.

Peak list (9 most intense, 5° ≤ 2θ ≤ 70°, most intense first)
| d_spacing | intensity |
| --- | --- |
| 2.462 | 100.0 |
| 1.422 | 36.5 |
| 3.482 | 18.3 |
| 1.741 | 17.7 |
| 4.021 | 10.4 |
| 1.557 | 7.8 |
| 2.010 | 5.7 |
| 2.100 | 5.6 |
| 1.598 | 2.4 |

Structure:
Cell: 4.9244 4.9244 4.9244 Å, 60.00 60.00 60.00°
Sites, in units of the cell vectors:
Pm: 0.0000 0.0000 0.0000
Al: 0.5000 0.5000 0.5000
Au: 0.2500 0.2500 0.2500
Au: 0.7500 0.7500 0.7500



[5]
# PuPt4
Theoretical powder XRD pattern, Cu Kα, 1.54184 Å. Input: the PBE geometry in the Materials Project.

Peak list (10 most intense, 5° ≤ 2θ ≤ 70°, most intense first)
| d_spacing | intensity |
| --- | --- |
| 2.297 | 100.0 |
| 2.175 | 64.2 |
| 2.507 | 48.0 |
| 3.046 | 45.5 |
| 2.185 | 43.4 |
| 1.647 | 27.5 |
| 4.247 | 23.3 |
| 2.278 | 20.7 |
| 1.347 | 18.2 |
| 1.435 | 17.5 |

Structure:
Cell: 5.0319 5.0319 4.3704 Å, 90.00 90.00 115.12°
Sites, in units of the cell vectors:
Pu: 0.0000 0.0000 0.0000
Pt: 0.0000 0.5000 0.5000
Pt: 0.3414 0.6586 0.0000
Pt: 0.5000 0.0000 0.5000
Pt: 0.6586 0.3414 0.0000